1.
The following is a calculated powder X-ray diffraction pattern of MnZn5Pd8. It was derived from a PBE-relaxed structure, using Cu Kα, 1.54184 Å.
Lines closer than 0.1° are merged.

Structural model:
```
data_MnZn5Pd8
_cell_length_a 7.5544
_cell_length_b 7.5544
_cell_length_c 7.6286
_cell_angle_alpha 90.00
_cell_angle_beta 90.00
_cell_angle_gamma 90.00
_space_group_name_H-M_alt 'I -4'
_space_group_IT_number 82
loop_
_space_group_symop_operation_xyz
'x,y,z'
'y,-x,-z'
'-x,-y,z'
'-y,x,-z'
'x+1/2,y+1/2,z+1/2'
'y+1/2,-x+1/2,-z+1/2'
'-x+1/2,-y+1/2,z+1/2'
'-y+1/2,x+1/2,-z+1/2'
loop_
_atom_site_label
_atom_site_fract_x
_atom_site_fract_y
_atom_site_fract_z
Mn1 0.0000 0.0000 0.0000
Zn1 0.0000 0.5000 0.2500
Zn2 0.1262 0.2656 0.6484
Pd1 0.0731 0.1726 0.3235
Pd2 0.0832 0.3282 0.9743
```

Peak list (10 most intense, 2θ from 10° to 90°, low angle first)
| two_theta | d [Å] | intensity | index |
| --- | --- | --- | --- |
| 28.90 | 3.089 | 14 | 2 1 1 |
| 37.31 | 2.410 | 47 | 1 0 3 |
| 37.63 | 2.390 | 100 | 1 3 0 |
| 44.60 | 2.032 | 46 | 2 1 3 |
| 44.81 | 2.022 | 75 | 3 2 1 |
| 59.56 | 1.552 | 9 | 2 2 4 |
| 59.89 | 1.545 | 18 | 2 4 2 |
| 62.69 | 1.482 | 12 | 3 4 1 |
| 77.91 | 1.226 | 16 | 6 1 1 |
| 80.35 | 1.195 | 11 | 2 6 0 |


2.
The following is a calculated powder X-ray diffraction pattern of Pm2Mg3Ag3. It was derived from a PBE-relaxed structure, using Cu Kα, 1.54184 Å.
Lines closer than 0.1° are merged.

Structural model:
```
data_Pm2Mg3Ag3
_cell_length_a 5.0822
_cell_length_b 5.0822
_cell_length_c 24.7454
_cell_angle_alpha 90.00
_cell_angle_beta 90.00
_cell_angle_gamma 120.00
_space_group_name_H-M_alt 'R 3 m'
_space_group_IT_number 160
_space_group_name_Hall 'R 3 -2"'
loop_
_atom_site_label
_atom_site_fract_x
_atom_site_fract_y
_atom_site_fract_z
Pm1 0.0000 0.0000 0.0000
Pm2 0.0000 0.0000 0.4915
Mg1 0.0000 0.0000 0.2492
Mg2 0.0000 0.0000 0.7434
Mg3 0.0000 0.0000 0.8723
Ag1 0.0000 0.0000 0.1273
Ag2 0.0000 0.0000 0.3677
Ag3 0.0000 0.0000 0.6161
```

Peak list (10 most intense, 2θ from 10° to 90°, low angle first)
| two_theta | d [Å] | intensity | index |
| --- | --- | --- | --- |
| 21.43 | 4.147 | 44 | 0 1 2 |
| 21.55 | 4.124 | 17 | 0 0 6 |
| 35.32 | 2.541 | 100 | 1 1 0 |
| 35.47 | 2.531 | 94 | 0 1 8 |
| 41.73 | 2.164 | 26 | 1 1 6 |
| 50.93 | 1.793 | 33 | 2 0 8 |
| 63.46 | 1.466 | 50 | 3 0 0 |
| 63.79 | 1.459 | 14 | 1 0 16 |
| 85.52 | 1.135 | 14 | 3 1 8 |
| 85.78 | 1.133 | 12 | 2 1 16 |


3.
The following is a calculated powder X-ray diffraction pattern of KAcReN3. It was derived from a PBE-relaxed structure, using Cu Kα, 1.54184 Å.
Lines closer than 0.1° are merged.

Structural model:
```
data_KAcReN3
_cell_length_a 14.5507
_cell_length_b 3.9974
_cell_length_c 7.9081
_cell_angle_alpha 90.00
_cell_angle_beta 106.10
_cell_angle_gamma 90.00
_space_group_name_H-M_alt 'C 1 2/m 1'
_space_group_IT_number 12
loop_
_space_group_symop_operation_xyz
'x,y,z'
'-x,-y,-z'
'-x,y,-z'
'x,-y,z'
'x+1/2,y+1/2,z'
'-x+1/2,-y+1/2,-z'
'-x+1/2,y+1/2,-z'
'x+1/2,-y+1/2,z'
loop_
_atom_site_label
_atom_site_fract_x
_atom_site_fract_y
_atom_site_fract_z
K1 0.1256 0.0000 0.0686
Ac1 0.1649 0.0000 0.6079
Re1 0.0081 0.5000 0.3336
N1 0.0114 0.0000 0.3317
N2 0.1216 0.5000 0.8013
N3 0.1480 0.5000 0.3667
```

Peak list (10 most intense, 2θ from 10° to 90°, low angle first)
| two_theta | d [Å] | intensity | index |
| --- | --- | --- | --- |
| 11.65 | 7.598 | 100 | 0 0 1 |
| 29.44 | 3.034 | 66 | 3 1 0 |
| 29.54 | 3.024 | 25 | 4 0 -2 |
| 29.69 | 3.009 | 38 | 2 0 2 |
| 31.83 | 2.811 | 47 | 1 1 -2 |
| 33.73 | 2.657 | 16 | 3 1 1 |
| 38.64 | 2.330 | 18 | 6 0 0 |
| 41.15 | 2.194 | 21 | 2 0 3 |
| 45.38 | 1.999 | 15 | 0 2 0 |
| 55.07 | 1.668 | 15 | 4 2 -2 |


4.
The following is a calculated powder X-ray diffraction pattern of NaSb3O8. It was derived from a PBE-relaxed structure, using Cu Kα, 1.54184 Å.
Lines closer than 0.1° are merged.

Structural model:
```
data_NaSb3O8
_cell_length_a 5.7647
_cell_length_b 4.8794
_cell_length_c 10.6771
_cell_angle_alpha 90.00
_cell_angle_beta 97.36
_cell_angle_gamma 90.00
_space_group_name_H-M_alt 'P 1 21/c 1'
_space_group_IT_number 14
loop_
_space_group_symop_operation_xyz
'x,y,z'
'-x,-y,-z'
'-x,y+1/2,-z+1/2'
'x,-y+1/2,z+1/2'
loop_
_atom_site_label
_atom_site_fract_x
_atom_site_fract_y
_atom_site_fract_z
Na1 0.0000 0.0000 0.0000
Sb1 0.2414 0.0253 0.7500
Sb2 0.5000 0.0000 0.5000
O1 0.0012 0.2019 0.1857
O2 0.2332 0.6451 0.0800
O3 0.2970 0.2078 0.9159
O4 0.4816 0.7241 0.8272
```

Peak list (10 most intense, 2θ from 10° to 90°, low angle first)
| two_theta | d [Å] | intensity | index |
| --- | --- | --- | --- |
| 26.09 | 3.415 | 100 | 1 1 1 |
| 33.55 | 2.671 | 37 | 1 1 -3 |
| 33.67 | 2.662 | 19 | 2 0 -2 |
| 33.86 | 2.647 | 18 | 0 0 4 |
| 50.76 | 1.799 | 16 | 2 2 -2 |
| 50.90 | 1.794 | 16 | 0 2 4 |
| 51.15 | 1.786 | 16 | 3 1 -1 |
| 51.42 | 1.777 | 16 | 1 1 5 |
| 53.68 | 1.708 | 16 | 2 2 2 |
| 64.30 | 1.449 | 16 | 1 3 -3 |


5.
The following is a calculated powder X-ray diffraction pattern of PaSi7Ir3. It was derived from a PBE-relaxed structure, using Cu Kα, 1.54184 Å.
Lines closer than 0.1° are merged.

Structural model:
```
data_PaSi7Ir3
_cell_length_a 7.6798
_cell_length_b 7.6798
_cell_length_c 20.0723
_cell_angle_alpha 90.00
_cell_angle_beta 90.00
_cell_angle_gamma 120.00
_space_group_name_H-M_alt 'R -3 c'
_space_group_IT_number 167
_space_group_name_Hall '-R 3 2"c'
loop_
_atom_site_label
_atom_site_fract_x
_atom_site_fract_y
_atom_site_fract_z
Pa1 0.0000 0.0000 0.0000
Si1 0.0000 0.0000 0.2500
Si2 0.0120 0.2068 0.1358
Ir1 0.0000 0.3176 0.2500
```

Peak list (10 most intense, 2θ from 10° to 90°, low angle first)
| two_theta | d [Å] | intensity | index |
| --- | --- | --- | --- |
| 15.99 | 5.544 | 19 | 0 1 2 |
| 26.77 | 3.330 | 100 | 1 1 3 |
| 35.59 | 2.522 | 55 | 1 1 6 |
| 40.12 | 2.248 | 17 | 2 1 4 |
| 40.70 | 2.217 | 50 | 3 0 0 |
| 47.12 | 1.929 | 35 | 1 1 9 |
| 49.36 | 1.846 | 41 | 2 2 3 |
| 65.85 | 1.418 | 18 | 4 1 3 |
| 70.53 | 1.335 | 24 | 3 0 12 |
| 70.76 | 1.331 | 17 | 1 4 6 |


6.
The following is a calculated powder X-ray diffraction pattern of Mg6AlCo. It was derived from a PBE-relaxed structure, using Cu Kα, 1.54184 Å.
Lines closer than 0.1° are merged.

Structural model:
```
data_Mg6AlCo
_cell_length_a 4.7663
_cell_length_b 6.0683
_cell_length_c 10.5789
_cell_angle_alpha 90.00
_cell_angle_beta 90.00
_cell_angle_gamma 90.00
_space_group_name_H-M_alt 'A m m 2'
_space_group_IT_number 38
loop_
_space_group_symop_operation_xyz
'x,y,z'
'-x,-y,z'
'-x,y,z'
'x,-y,z'
'x,y+1/2,z+1/2'
'-x,-y+1/2,z+1/2'
'-x,y+1/2,z+1/2'
'x,-y+1/2,z+1/2'
loop_
_atom_site_label
_atom_site_fract_x
_atom_site_fract_y
_atom_site_fract_z
Mg1 0.0000 0.0000 0.0000
Mg2 0.0000 0.2369 0.7448
Mg3 0.5000 0.0000 0.1650
Mg4 0.5000 0.2436 0.4187
Al1 0.0000 0.0000 0.5145
Co1 0.5000 0.0000 0.6468
```

Peak list (10 most intense, 2θ from 10° to 90°, low angle first)
| two_theta | d [Å] | intensity | index |
| --- | --- | --- | --- |
| 16.81 | 5.273 | 32 | 0 0 2 |
| 34.07 | 2.632 | 34 | 0 2 2 |
| 37.75 | 2.383 | 40 | 2 0 0 |
| 38.95 | 2.313 | 59 | 1 0 4 |
| 39.10 | 2.304 | 100 | 1 2 2 |
| 51.75 | 1.767 | 19 | 2 2 2 |
| 60.75 | 1.525 | 16 | 0 2 6 |
| 69.05 | 1.360 | 17 | 3 2 2 |
| 73.78 | 1.284 | 17 | 2 2 6 |
| 74.85 | 1.268 | 15 | 1 4 4 |


7.
The following is a calculated powder X-ray diffraction pattern of Sr2InHg4Pb. It was derived from a PBE-relaxed structure, using Cu Kα, 1.54184 Å.
Lines closer than 0.1° are merged.

Structural model:
```
data_Sr2InHg4Pb
_cell_length_a 5.4349
_cell_length_b 5.4349
_cell_length_c 26.4993
_cell_angle_alpha 90.00
_cell_angle_beta 90.00
_cell_angle_gamma 120.00
_space_group_name_H-M_alt 'R -3 m'
_space_group_IT_number 166
_space_group_name_Hall '-R 3 2"'
loop_
_atom_site_label
_atom_site_fract_x
_atom_site_fract_y
_atom_site_fract_z
Sr1 0.0000 0.0000 0.2502
In1 0.0000 0.0000 0.5000
Hg1 0.0000 0.0000 0.1267
Hg2 0.0000 0.0000 0.3777
Pb1 0.0000 0.0000 0.0000
```

Peak list (10 most intense, 2θ from 10° to 90°, low angle first)
| two_theta | d [Å] | intensity | index |
| --- | --- | --- | --- |
| 23.18 | 3.837 | 12 | 1 0 4 |
| 32.96 | 2.717 | 100 | 1 1 0 |
| 33.07 | 2.709 | 98 | 0 1 8 |
| 47.39 | 1.918 | 36 | 2 0 8 |
| 58.91 | 1.568 | 57 | 3 0 0 |
| 59.14 | 1.562 | 18 | 1 0 16 |
| 69.14 | 1.359 | 12 | 2 2 0 |
| 69.39 | 1.354 | 12 | 0 2 16 |
| 78.80 | 1.215 | 17 | 3 1 8 |
| 78.98 | 1.212 | 16 | 2 1 16 |


8.
The following is a calculated powder X-ray diffraction pattern of Ag3AuSe3. It was derived from a PBE-relaxed structure, using Cu Kα, 1.54184 Å.
Lines closer than 0.1° are merged.

Structural model:
```
data_Ag3AuSe3
_cell_length_a 4.7237
_cell_length_b 7.1561
_cell_length_c 10.2856
_cell_angle_alpha 83.99
_cell_angle_beta 78.01
_cell_angle_gamma 74.69
_space_group_name_H-M_alt 'P -1'
_space_group_IT_number 2
loop_
_space_group_symop_operation_xyz
'x,y,z'
'-x,-y,-z'
loop_
_atom_site_label
_atom_site_fract_x
_atom_site_fract_y
_atom_site_fract_z
Ag1 0.2158 0.2231 0.4898
Ag2 0.2360 0.5070 0.7726
Ag3 0.2473 0.6409 0.0682
Au1 0.3050 0.0720 0.8439
Se1 0.1939 0.5460 0.3473
Se2 0.2606 0.9158 0.6485
Se3 0.2714 0.2323 0.0534
```

Peak list (10 most intense, 2θ from 10° to 90°, low angle first)
| two_theta | d [Å] | intensity | index |
| --- | --- | --- | --- |
| 20.80 | 4.270 | 63 | 1 1 0 |
| 23.23 | 3.829 | 48 | 1 0 -1 |
| 28.48 | 3.134 | 40 | 1 2 0 |
| 30.22 | 2.958 | 100 | 1 1 3 |
| 31.39 | 2.850 | 40 | 1 2 -1 |
| 32.27 | 2.774 | 83 | 0 2 -2 |
| 36.41 | 2.468 | 38 | 1 0 -3 |
| 37.18 | 2.418 | 42 | 1 -2 1 |
| 39.81 | 2.264 | 34 | 0 3 1 |
| 40.31 | 2.238 | 76 | 2 0 0 |